# Nd2Sm2C2Br4Cl
Computed powder XRD pattern, Cu Kα X-rays. Input: a cell relaxed with PBE.
Lines closer than 0.1° are merged.

Atomic structure:
```
data_Nd2Sm2C2Br4Cl
_chemical_formula_sum 'Nd4 Sm4 C4 Br8 Cl2'
_cell_length_a 19.385
_cell_length_b 3.896
_cell_length_c 8.038
_cell_angle_alpha 90.00
_cell_angle_beta 103.71
_cell_angle_gamma 90.00
_symmetry_space_group_name_H-M 'C 1 2/m 1'
_symmetry_Int_Tables_number 12
_symmetry_space_group_name_Hall '-C 2y'
loop_
_atom_site_label
_atom_site_type_symbol
_atom_site_fract_x
_atom_site_fract_y
_atom_site_fract_z
Nd1 Nd 0.000 0.000 0.209
Sm1 Sm 0.155 0.500 0.098
C1 C 0.037 0.500 0.022
Br1 Br 0.161 0.000 0.369
Br2 Br 0.169 0.000 0.830
Cl1 Cl 0.000 0.500 0.500
```

The 10 most intense peaks (10 to 90 degrees two-theta), in order of rising 2θ:
d (Å), I/Imax
7.809, 48
3.194, 20
3.139, 67
2.919, 19
2.796, 100
2.707, 23
2.110, 34
2.066, 39
1.948, 19
1.655, 20

# Nd2Sm2C2Br3Cl2
Computed powder XRD pattern, Cu Kα X-rays. Input: a cell relaxed with PBE.
Lines closer than 0.1° are merged.

Atomic structure:
```
data_Nd2Sm2C2Br3Cl2
_chemical_formula_sum 'Nd4 Sm4 C4 Br6 Cl4'
_cell_length_a 19.264
_cell_length_b 3.877
_cell_length_c 8.110
_cell_angle_alpha 90.00
_cell_angle_beta 105.28
_cell_angle_gamma 90.00
_symmetry_space_group_name_H-M 'C 1 2/m 1'
_symmetry_Int_Tables_number 12
_symmetry_space_group_name_Hall '-C 2y'
loop_
_atom_site_label
_atom_site_type_symbol
_atom_site_fract_x
_atom_site_fract_y
_atom_site_fract_z
Nd1 Nd 0.159 0.000 0.108
Sm1 Sm 0.002 0.500 0.202
C1 C 0.038 0.000 0.024
Br1 Br 0.000 0.000 0.500
Br2 Br 0.167 0.500 0.828
Cl1 Cl 0.157 0.500 0.359
```

The 10 most intense peaks (10 to 90 degrees two-theta), in order of rising 2θ:
d (Å), I/Imax
7.823, 64
3.193, 22
3.097, 72
2.800, 100
2.700, 19
2.319, 19
2.117, 36
2.039, 41
1.938, 20
1.643, 22

# Nd2Sm2C2Br3Cl2
Computed powder XRD pattern, Cu Kα X-rays. Input: a cell relaxed with PBE.
Lines closer than 0.1° are merged.

Atomic structure:
```
data_Nd2Sm2C2Br3Cl2
_chemical_formula_sum 'Nd4 Sm4 C4 Br6 Cl4'
_cell_length_a 18.904
_cell_length_b 3.900
_cell_length_c 8.228
_cell_angle_alpha 90.00
_cell_angle_beta 103.99
_cell_angle_gamma 90.00
_symmetry_space_group_name_H-M 'C 1 2/m 1'
_symmetry_Int_Tables_number 12
_symmetry_space_group_name_Hall '-C 2y'
loop_
_atom_site_label
_atom_site_type_symbol
_atom_site_fract_x
_atom_site_fract_y
_atom_site_fract_z
Nd1 Nd 0.001 0.000 0.299
Sm1 Sm 0.159 0.500 0.597
C1 C 0.038 0.500 0.523
Br1 Br 0.000 0.500 0.000
Br2 Br 0.164 0.000 0.862
Cl1 Cl 0.171 0.000 0.353
```

The 10 most intense peaks (10 to 90 degrees two-theta), in order of rising 2θ:
d (Å), I/Imax
7.984, 37
5.409, 23
3.190, 35
3.057, 67
2.910, 34
2.830, 100
2.095, 38
2.059, 49
1.950, 23
1.644, 22

# Nd2Y2CBr2Cl3
Computed powder XRD pattern, Cu Kα X-rays. Input: a cell relaxed with PBE.
Lines closer than 0.1° are merged.

Atomic structure:
```
data_Nd2Y2CBr2Cl3
_chemical_formula_sum 'Nd4 Y4 C2 Br4 Cl6'
_cell_length_a 17.858
_cell_length_b 3.860
_cell_length_c 8.119
_cell_angle_alpha 90.00
_cell_angle_beta 103.03
_cell_angle_gamma 90.00
_symmetry_space_group_name_H-M 'C 1 2/m 1'
_symmetry_Int_Tables_number 12
_symmetry_space_group_name_Hall '-C 2y'
loop_
_atom_site_label
_atom_site_type_symbol
_atom_site_fract_x
_atom_site_fract_y
_atom_site_fract_z
Nd1 Nd 0.000 0.000 0.215
Y1 Y 0.139 0.500 0.073
C1 C 0.000 0.500 0.000
Br1 Br 0.174 0.000 0.833
Cl1 Cl 0.000 0.500 0.500
Cl2 Cl 0.164 0.000 0.317
```

The 10 most intense peaks (10 to 90 degrees two-theta), in order of rising 2θ:
d (Å), I/Imax
8.699, 42
7.910, 73
3.954, 20
3.769, 23
2.900, 45
2.797, 100
2.642, 29
2.586, 46
2.213, 22
2.013, 56

# Nd2Y2CBr2Cl3
Computed powder XRD pattern, Cu Kα X-rays. Input: a cell relaxed with PBE.
Lines closer than 0.1° are merged.

Atomic structure:
```
data_Nd2Y2CBr2Cl3
_chemical_formula_sum 'Nd4 Y4 C2 Br4 Cl6'
_cell_length_a 17.588
_cell_length_b 3.801
_cell_length_c 7.939
_cell_angle_alpha 90.00
_cell_angle_beta 103.58
_cell_angle_gamma 90.00
_symmetry_space_group_name_H-M 'C 1 2/m 1'
_symmetry_Int_Tables_number 12
_symmetry_space_group_name_Hall '-C 2y'
loop_
_atom_site_label
_atom_site_type_symbol
_atom_site_fract_x
_atom_site_fract_y
_atom_site_fract_z
Nd1 Nd 0.147 0.000 0.081
Y1 Y 0.002 0.500 0.791
C1 C 0.000 0.000 0.000
Br1 Br 0.163 0.500 0.369
Cl1 Cl 0.000 0.000 0.500
Cl2 Cl 0.166 0.500 0.824
```

The 10 most intense peaks (10 to 90 degrees two-theta), in order of rising 2θ:
d (Å), I/Imax
7.716, 44
6.543, 22
4.178, 21
3.070, 30
2.849, 50
2.801, 40
2.745, 100
2.317, 26
1.984, 41
1.971, 31

# Nd2Y2CBrCl4
Computed powder XRD pattern, Cu Kα X-rays. Input: a cell relaxed with PBE.
Lines closer than 0.1° are merged.

Atomic structure:
```
data_Nd2Y2CBrCl4
_chemical_formula_sum 'Nd4 Y4 C2 Br2 Cl8'
_cell_length_a 17.447
_cell_length_b 3.807
_cell_length_c 8.086
_cell_angle_alpha 90.00
_cell_angle_beta 105.04
_cell_angle_gamma 90.00
_symmetry_space_group_name_H-M 'C 1 2/m 1'
_symmetry_Int_Tables_number 12
_symmetry_space_group_name_Hall '-C 2y'
loop_
_atom_site_label
_atom_site_type_symbol
_atom_site_fract_x
_atom_site_fract_y
_atom_site_fract_z
Nd1 Nd 0.149 0.000 0.086
Y1 Y 0.000 0.500 0.203
C1 C 0.000 0.000 0.000
Br1 Br 0.000 0.000 0.500
Cl1 Cl 0.161 0.500 0.349
Cl2 Cl 0.166 0.500 0.831
```

The 10 most intense peaks (10 to 90 degrees two-theta), in order of rising 2θ:
d (Å), I/Imax
8.425, 24
7.809, 65
5.105, 26
4.189, 27
3.082, 30
2.808, 47
2.785, 37
2.771, 100
1.992, 27
1.953, 31